Diffraction record for Be2Cd2SbO6. The PXRD pattern is computed, not measured: it uses a crystal structure in Alexandria, relaxed with PBE and Cu Kα (weighted mean of Kα1 and Kα2).
Neutral-atom scattering factors, no anomalous dispersion.

Structure:
Cell lengths 5.158, 5.158, 6.330 Å; angles 90.00, 90.00, 120.00 degrees
Sites, in units of the cell vectors:
Be  0.333  0.667  0.328
Be  0.667  0.333  0.672
Cd  0.333  0.667  0.847
Cd  0.667  0.333  0.153
Sb  0.000  0.000  0.500
O  0.061  0.717  0.313
O  0.283  0.344  0.313
O  0.344  0.061  0.687
O  0.656  0.939  0.313
O  0.717  0.656  0.687
O  0.939  0.283  0.687

Principal peaks in the range 10 to 90 degrees two-theta, in order of rising 2θ:
24.39°, I = 100
34.76°, I = 90
42.93°, I = 32
49.98°, I = 16
56.36°, I = 46
62.30°, I = 26
62.36°, I = 11
78.67°, I = 13
83.82°, I = 15
88.97°, I = 9



Diffraction record for Na3SmTi2Nb2O12. The PXRD pattern is computed, not measured: it uses a crystal structure in Alexandria, relaxed with PBE and Cu Kα (weighted mean of Kα1 and Kα2).
Neutral-atom scattering factors, no anomalous dispersion.

Structure:
Cell lengths 5.497, 5.610, 7.807 Å; angles 90.00, 90.09, 90.24 degrees
Sites, in units of the cell vectors:
Na  0.000  0.000  0.000
Na  0.006  0.051  0.497
Na  0.487  0.520  0.995
Sm  0.488  0.568  0.497
Ti  0.505  0.037  0.251
Ti  0.987  0.533  0.741
Nb  0.504  0.034  0.759
Nb  0.991  0.523  0.236
O  0.054  0.527  0.994
O  0.211  0.778  0.700
O  0.213  0.779  0.296
O  0.294  0.300  0.705
O  0.295  0.296  0.291
O  0.426  0.008  0.001
O  0.563  0.987  0.495
O  0.695  0.706  0.227
O  0.699  0.706  0.766
O  0.786  0.208  0.215
O  0.792  0.213  0.785
O  0.912  0.480  0.501

Principal peaks in the range 10 to 90 degrees two-theta, in order of rising 2θ:
11.33°, I = 30
19.48°, I = 30
19.75°, I = 29
31.91°, I = 37
32.32°, I = 100
32.40°, I = 33
32.58°, I = 33
46.14°, I = 24
46.53°, I = 25
58.03°, I = 24



Diffraction record for Mn4P. The PXRD pattern is computed, not measured: it uses a crystal structure in Alexandria, relaxed with PBE and Cu Kα (weighted mean of Kα1 and Kα2).
Neutral-atom scattering factors, no anomalous dispersion.

Structure:
Cell lengths 5.544, 5.544, 3.490 Å; angles 90.00, 90.00, 90.00 degrees
Sites, in units of the cell vectors:
Mn  0.101  0.300  0.000
Mn  0.200  0.601  0.500
Mn  0.300  0.899  0.000
Mn  0.399  0.200  0.500
Mn  0.601  0.800  0.500
Mn  0.700  0.101  0.000
Mn  0.800  0.399  0.500
Mn  0.899  0.700  0.000
P  0.000  0.000  0.500
P  0.500  0.500  0.000

Principal peaks in the range 10 to 90 degrees two-theta, in order of rising 2θ:
22.68°, I = 3
30.26°, I = 3
32.30°, I = 1
44.85°, I = 100
52.18°, I = 31
52.44°, I = 15
66.45°, I = 1
76.91°, I = 9
77.13°, I = 17



Diffraction record for La13Th3. The PXRD pattern is computed, not measured: it uses a crystal structure in Alexandria, relaxed with PBE and Cu Kα (weighted mean of Kα1 and Kα2).
Neutral-atom scattering factors, no anomalous dispersion.

Structure:
Cell lengths 7.393, 8.842, 8.842 Å; angles 87.02, 90.00, 90.00 degrees
Sites, in units of the cell vectors:
La  0.000  0.000  0.000
La  0.000  0.438  0.923
La  0.000  0.520  0.520
La  0.000  0.923  0.438
La  0.255  0.255  0.255
La  0.256  0.170  0.677
La  0.256  0.677  0.170
La  0.500  0.420  0.922
La  0.500  0.523  0.523
La  0.500  0.922  0.420
La  0.744  0.170  0.677
La  0.744  0.677  0.170
La  0.745  0.255  0.255
Th  0.259  0.764  0.764
Th  0.500  0.000  0.000
Th  0.741  0.764  0.764

Principal peaks in the range 10 to 90 degrees two-theta, in order of rising 2θ:
27.85°, I = 24
29.34°, I = 27
31.56°, I = 100
40.90°, I = 17
49.26°, I = 19
53.45°, I = 23
58.38°, I = 22
59.69°, I = 16
80.91°, I = 8
81.98°, I = 8



Diffraction record for Ho2ScHg2. The PXRD pattern is computed, not measured: it uses a crystal structure in Alexandria, relaxed with PBE and Cu Kα (weighted mean of Kα1 and Kα2).
Neutral-atom scattering factors, no anomalous dispersion.

Structure:
Cell lengths 4.012, 6.960, 9.422 Å; angles 90.00, 90.00, 90.00 degrees
Sites, in units of the cell vectors:
Ho  0.000  0.000  0.208
Ho  0.000  0.000  0.792
Ho  0.500  0.500  0.292
Ho  0.500  0.500  0.708
Sc  0.000  0.500  0.000
Sc  0.500  0.000  0.500
Hg  0.000  0.287  0.500
Hg  0.000  0.713  0.500
Hg  0.500  0.213  0.000
Hg  0.500  0.787  0.000

Principal peaks in the range 10 to 90 degrees two-theta, in order of rising 2θ:
15.83°, I = 12
24.11°, I = 21
31.99°, I = 100
35.45°, I = 52
36.33°, I = 35
38.21°, I = 16
45.17°, I = 32
56.43°, I = 21
60.44°, I = 24
60.61°, I = 15



Diffraction record for Tb2PrTcN4. The PXRD pattern is computed, not measured: it uses a crystal structure in Alexandria, relaxed with PBE and Cu Kα (weighted mean of Kα1 and Kα2).
Neutral-atom scattering factors, no anomalous dispersion.

Structure:
Cell lengths 6.155, 6.155, 11.679 Å; angles 90.00, 90.00, 147.08 degrees
Sites, in units of the cell vectors:
Tb  0.131  0.869  0.540
Tb  0.131  0.869  0.960
Tb  0.869  0.131  0.040
Tb  0.869  0.131  0.460
Pr  0.380  0.620  0.750
Pr  0.620  0.380  0.250
Tc  0.356  0.644  0.250
Tc  0.644  0.356  0.750
N  0.064  0.936  0.750
N  0.236  0.764  0.128
N  0.236  0.764  0.372
N  0.500  0.500  0.000
N  0.500  0.500  0.500
N  0.764  0.236  0.628
N  0.764  0.236  0.872
N  0.936  0.064  0.250

Principal peaks in the range 10 to 90 degrees two-theta, in order of rising 2θ:
27.44°, I = 38
30.28°, I = 62
30.62°, I = 40
30.80°, I = 100
37.75°, I = 95
43.60°, I = 30
47.47°, I = 20
49.14°, I = 22
52.43°, I = 29
63.28°, I = 21



Diffraction record for Li2Hf5As5. The PXRD pattern is computed, not measured: it uses a crystal structure in Alexandria, relaxed with PBE and Cu Kα (weighted mean of Kα1 and Kα2).
Neutral-atom scattering factors, no anomalous dispersion.

Structure:
Cell lengths 6.934, 6.934, 6.934 Å; angles 101.59, 101.59, 126.74 degrees
Sites, in units of the cell vectors:
Li  0.000  0.500  0.500
Li  0.500  0.000  0.500
Hf  0.139  0.139  0.413
Hf  0.139  0.726  0.000
Hf  0.383  0.383  0.000
Hf  0.726  0.139  0.000
Hf  0.726  0.726  0.587
As  0.246  0.535  0.289
As  0.246  0.958  0.711
As  0.535  0.246  0.289
As  0.799  0.799  0.000
As  0.958  0.246  0.711

Principal peaks in the range 10 to 90 degrees two-theta, in order of rising 2θ:
14.29°, I = 30
26.89°, I = 42
28.76°, I = 65
33.90°, I = 95
35.41°, I = 37
41.15°, I = 100
43.80°, I = 36
54.35°, I = 40
58.61°, I = 33
74.07°, I = 38



Diffraction record for Cr2W3. The PXRD pattern is computed, not measured: it uses a crystal structure in Alexandria, relaxed with PBE and Cu Kα (weighted mean of Kα1 and Kα2).
Neutral-atom scattering factors, no anomalous dispersion.

Structure:
Cell lengths 3.064, 3.064, 15.332 Å; angles 90.00, 90.00, 90.00 degrees
Sites, in units of the cell vectors:
Cr  0.000  0.000  0.098
Cr  0.000  0.000  0.294
Cr  0.000  0.000  0.706
Cr  0.000  0.000  0.902
W  0.000  0.000  0.500
W  0.500  0.500  0.000
W  0.500  0.500  0.196
W  0.500  0.500  0.392
W  0.500  0.500  0.608
W  0.500  0.500  0.804

Principal peaks in the range 10 to 90 degrees two-theta, in order of rising 2θ:
11.54°, I = 2
29.14°, I = 20
29.73°, I = 2
34.12°, I = 2
37.58°, I = 2
41.67°, I = 100
51.65°, I = 6
60.41°, I = 16
68.45°, I = 7
76.07°, I = 33



Diffraction record for Zr2Sb3. The PXRD pattern is computed, not measured: it uses a crystal structure in Alexandria, relaxed with PBE and Cu Kα (weighted mean of Kα1 and Kα2).
Neutral-atom scattering factors, no anomalous dispersion.

Structure:
Cell lengths 7.497, 6.969, 9.361 Å; angles 52.18, 47.25, 80.56 degrees
Sites, in units of the cell vectors:
Zr  0.288  0.712  0.382
Zr  0.632  0.868  0.538
Zr  0.712  0.288  0.618
Zr  0.868  0.632  0.962
Sb  0.043  0.043  0.457
Sb  0.193  0.346  0.893
Sb  0.346  0.193  0.568
Sb  0.357  0.682  0.057
Sb  0.682  0.357  0.904
Sb  0.793  0.793  0.207

Principal peaks in the range 10 to 90 degrees two-theta, in order of rising 2θ:
26.85°, I = 25
29.49°, I = 74
32.62°, I = 83
33.25°, I = 100
36.24°, I = 43
39.35°, I = 82
41.78°, I = 24
42.06°, I = 40
42.97°, I = 24
63.56°, I = 27



Diffraction record for ThAl2Cu3. The PXRD pattern is computed, not measured: it uses a crystal structure in Alexandria, relaxed with PBE and Cu Kα (weighted mean of Kα1 and Kα2).
Neutral-atom scattering factors, no anomalous dispersion.

Structure:
Cell lengths 6.314, 6.314, 5.228 Å; angles 90.00, 90.00, 79.78 degrees
Sites, in units of the cell vectors:
Th  0.191  0.809  0.750
Th  0.809  0.191  0.250
Al  0.287  0.287  0.000
Al  0.287  0.287  0.500
Al  0.713  0.713  0.000
Al  0.713  0.713  0.500
Cu  0.043  0.606  0.250
Cu  0.394  0.957  0.250
Cu  0.436  0.564  0.250
Cu  0.564  0.436  0.750
Cu  0.606  0.043  0.750
Cu  0.957  0.394  0.750

Principal peaks in the range 10 to 90 degrees two-theta, in order of rising 2θ:
18.31°, I = 21
21.95°, I = 20
22.22°, I = 30
33.56°, I = 42
34.31°, I = 26
34.48°, I = 100
39.16°, I = 17
41.10°, I = 20
47.20°, I = 23
49.44°, I = 16



Diffraction record for Nd2Pu3N8. The PXRD pattern is computed, not measured: it uses a crystal structure in Alexandria, relaxed with PBE and Cu Kα (weighted mean of Kα1 and Kα2).
Neutral-atom scattering factors, no anomalous dispersion.

Structure:
Cell lengths 6.897, 6.897, 10.374 Å; angles 90.00, 90.00, 120.00 degrees
Sites, in units of the cell vectors:
Nd  0.333  0.667  0.000
Nd  0.333  0.667  0.353
Nd  0.667  0.333  0.500
Nd  0.667  0.333  0.853
Pu  0.166  0.332  0.710
Pu  0.166  0.834  0.710
Pu  0.332  0.166  0.210
Pu  0.668  0.834  0.710
Pu  0.834  0.166  0.210
Pu  0.834  0.668  0.210
N  0.000  0.000  0.300
N  0.000  0.000  0.800
N  0.058  0.529  0.821
N  0.162  0.324  0.133
N  0.162  0.838  0.133
N  0.324  0.162  0.633
N  0.333  0.667  0.603
N  0.471  0.529  0.821
N  0.471  0.942  0.821
N  0.529  0.058  0.321
N  0.529  0.471  0.321
N  0.667  0.333  0.103
N  0.676  0.838  0.133
N  0.838  0.162  0.633
N  0.838  0.676  0.633
N  0.942  0.471  0.321

Principal peaks in the range 10 to 90 degrees two-theta, in order of rising 2θ:
17.10°, I = 47
22.70°, I = 16
29.88°, I = 51
31.16°, I = 100
34.63°, I = 16
39.88°, I = 17
48.13°, I = 19
53.11°, I = 21
53.80°, I = 22
56.22°, I = 11



Diffraction record for NaNbCu2W. The PXRD pattern is computed, not measured: it uses a crystal structure in Alexandria, relaxed with PBE and Cu Kα (weighted mean of Kα1 and Kα2).
Neutral-atom scattering factors, no anomalous dispersion.

Structure:
Cell lengths 4.671, 4.671, 5.027 Å; angles 90.00, 90.00, 90.00 degrees
Sites, in units of the cell vectors:
Na  0.000  0.000  0.000
Nb  0.500  0.500  0.000
Cu  0.000  0.500  0.500
Cu  0.500  0.000  0.500
W  0.000  0.000  0.500

Principal peaks in the range 10 to 90 degrees two-theta, in order of rising 2θ:
17.64°, I = 38
19.00°, I = 19
26.04°, I = 100
26.99°, I = 19
35.73°, I = 33
38.54°, I = 54
47.11°, I = 40
53.56°, I = 41
55.65°, I = 18
67.91°, I = 19